Record 1
Er6HgPt: calculated powder diffraction line list (Cu Kα (weighted mean of Kα1 and Kα2)), based on a DFT-relaxed cell (PBE, Alexandria).

Atomic structure:
Cell: 6.9168 6.9229 7.2592 Å, 90.18 118.26 119.85°
Space group P-1 (No. 2)
Symmetry-distinct sites (fractional):
Er 0.0269 0.0728 0.2535
Er 0.2980 0.7258 0.2528
Er 0.3167 0.5438 0.7469
Hg 0.5000 0.0000 0.0000
Pt 0.5000 0.5000 0.5000

Peak list (12 most intense, 2θ = 10–90°, in order of falling intensity)
| 2θ (°) | I (rel.) | (hkl) |
| --- | --- | --- |
| 29.68 | 100 | 2 -1 0 |
| 24.54 | 33 | 1 0 -2 |
| 39.41 | 32 | 1 1 1 |
| 39.53 | 30 | -2 1 3 |
| 45.33 | 29 | 3 0 -2 |
| 17.71 | 27 | -1 1 1 |
| 31.41 | 24 | 2 0 -2 |
| 29.78 | 19 | -2 1 2 |
| 45.44 | 15 | -3 3 1 |
| 52.42 | 14 | -1 2 3 |
| 52.27 | 12 | 2 -1 2 |
| 40.98 | 11 | 2 1 -1 |


Record 2
SmPd5Au2: calculated powder diffraction line list (Cu Kα (weighted mean of Kα1 and Kα2)), based on a DFT-relaxed cell (PBE, Alexandria).

Atomic structure:
Cell: 4.1584 4.1584 16.1452 Å, 90.00 90.00 90.00°
Space group I4/mmm (No. 139)
Symmetry-distinct sites (fractional):
Sm 0.0000 0.0000 0.0000
Pd 0.0000 0.0000 0.5000
Pd 0.0000 0.5000 0.1282
Au 0.0000 0.0000 0.2515

Peak list (12 most intense, 2θ = 10–90°, in order of falling intensity)
| 2θ (°) | I (rel.) | (hkl) |
| --- | --- | --- |
| 37.86 | 100 | 1 1 4 |
| 43.53 | 34 | 2 0 0 |
| 76.13 | 26 | 3 1 4 |
| 64.33 | 21 | 2 0 8 |
| 44.91 | 16 | 0 0 8 |
| 78.12 | 12 | 1 1 12 |
| 63.25 | 11 | 2 2 0 |
| 80.89 | 11 | 2 2 8 |
| 10.96 | 8 | 0 0 2 |
| 22.03 | 4 | 0 0 4 |
| 30.40 | 4 | 1 1 0 |
| 49.30 | 2 | 2 0 4 |


Record 3
CsBaInCl6: calculated powder diffraction line list (Cu Kα (weighted mean of Kα1 and Kα2)), based on a DFT-relaxed cell (PBE, Alexandria).

Atomic structure:
Cell: 7.5962 7.5962 14.3175 Å, 90.00 90.00 120.00°
Space group P-31c (No. 163)
Symmetry-distinct sites (fractional):
Cs 0.0000 0.0000 0.0000
Ba 0.3333 0.6667 0.2500
In 0.3333 0.6667 0.7500
Cl 0.0522 0.3990 0.6455

Peak list (12 most intense, 2θ = 10–90°, in order of falling intensity)
| 2θ (°) | I (rel.) | (hkl) |
| --- | --- | --- |
| 18.32 | 100 | 1 0 2 |
| 34.43 | 64 | 1 1 4 |
| 23.42 | 32 | 1 1 0 |
| 38.32 | 30 | 2 1 2 |
| 29.89 | 25 | 2 0 2 |
| 41.17 | 23 | 3 0 0 |
| 26.57 | 21 | 1 1 2 |
| 12.36 | 19 | 0 0 2 |
| 54.72 | 15 | 4 -2 4 |
| 51.70 | 13 | 4 -1 2 |
| 53.20 | 12 | 3 -1 6 |
| 40.20 | 10 | 1 0 6 |


Which formula does entry 3 have?
CsBaInCl6